# 1
For AcCe4Y, the PBE geometry in Alexandria gives the theoretical powder diffractogram in this record (CuKα).

Largest 10 diffraction maxima, by angle, 2θ = 15–90°:
d/Å	intensity
4.554	10
3.220	30
2.746	100
2.629	38
1.859	13
1.753	38
1.610	29
1.389	12
1.373	14
1.186	22

Structure:
a b c (Å): 6.441 6.441 6.441
angles (deg): 60.00 60.00 60.00
Fractional coordinates of all 6 atoms:
Ac (0.000, 0.000, 0.000)
Ce (0.381, 0.381, 0.381)
Ce (0.381, 0.381, 0.857)
Ce (0.381, 0.857, 0.381)
Ce (0.857, 0.381, 0.381)
Y (0.750, 0.750, 0.750)

# 2
For TlTePO, the PBE geometry in Alexandria gives the theoretical powder diffractogram in this record (CuKα).

Largest 10 diffraction maxima, by angle, 2θ = 15–90°:
d/Å	intensity
3.810	45
3.736	50
3.117	54
3.067	48
2.857	100
2.835	31
2.826	31
2.085	19
2.010	22
1.752	23

Structure:
a b c (Å): 3.922 4.203 6.572
angles (deg): 78.19 72.82 89.98
Fractional coordinates of all 4 atoms:
Tl (0.000, 0.000, 0.000)
Te (0.269, 0.359, 0.458)
P (0.716, 0.732, 0.565)
O (0.590, 0.671, 0.819)